Diffraction record for Hg3SeO6. The X-ray powder pattern is theoretical, not measured: it uses a DFT-relaxed cell (PBE, the Materials Project) and Cu Kα X-rays.
Peak positions follow from Bragg's law for the DFT cell and can differ from measured ones.

Structure:
```
Hg3SeO6
1.0
7.4276 0.0000 0.0000
3.6837 6.5955 0.0000
0.1121 -0.0201 10.1184
Hg Se O
9 3 18
direct
0.0000 0.0000 0.0000 Hg
0.0103 0.4784 0.9893 Hg
0.1684 0.1553 0.6877 Hg
0.3113 0.8584 0.3498 Hg
0.6054 0.9099 0.9086 Hg
0.6587 0.1866 0.6401 Hg
0.7033 0.6595 0.6207 Hg
0.8055 0.8582 0.3036 Hg
0.8333 0.3457 0.3480 Hg
0.1437 0.6782 0.6539 Se
0.3130 0.3771 0.3172 Se
0.5068 0.3832 0.0448 Se
0.0065 0.9088 0.7259 O
0.0534 0.6763 0.5024 O
0.1036 0.5124 0.7450 O
0.1277 0.1821 0.9252 O
0.2211 0.2273 0.3781 O
0.3904 0.6173 0.6476 O
0.3909 0.7625 0.0709 O
0.4485 0.7108 0.9362 O
0.4610 0.8852 0.1195 O
0.4616 0.2202 0.1709 O
0.5178 0.3304 0.4135 O
0.5242 0.9877 0.6835 O
0.5792 0.2251 0.9117 O
0.6427 0.7000 0.3790 O
0.7346 0.3532 0.1017 O
0.8513 0.3268 0.5997 O
0.8991 0.7800 0.0530 O
0.9945 0.0068 0.2944 O
```

Main lines, by intensity (5 to 70 degrees two-theta):
28.83°, rel. 100
26.43°, rel. 94
28.48°, rel. 83
29.10°, rel. 82
32.39°, rel. 61
32.77°, rel. 56
32.97°, rel. 39
45.24°, rel. 26
29.99°, rel. 25
13.67°, rel. 24

---

Diffraction record for Hg3Se4O5. The X-ray powder pattern is theoretical, not measured: it uses a DFT-relaxed cell (PBE, the Materials Project) and Cu Kα X-rays.
Peak positions follow from Bragg's law for the DFT cell and can differ from measured ones.

Structure:
```
Hg3Se4O5
1.0
7.9084 0.0000 0.0000
-2.3381 7.5934 0.0000
-3.3108 -1.7711 8.7317
Hg Se O
6 8 10
direct
0.0136 0.4768 0.2179 Hg
0.0158 0.9891 0.2716 Hg
0.2705 0.8038 0.5892 Hg
0.7295 0.1962 0.4108 Hg
0.9842 0.0109 0.7284 Hg
0.9864 0.5232 0.7821 Hg
0.2215 0.8475 0.8409 Se
0.2402 0.8066 0.3118 Se
0.3478 0.3620 0.5917 Se
0.3727 0.3360 0.1104 Se
0.6273 0.6640 0.8896 Se
0.6522 0.6380 0.4083 Se
0.7598 0.1934 0.6882 Se
0.7785 0.1525 0.1591 Se
0.1720 0.3912 0.0432 O
0.1831 0.4642 0.5270 O
0.2097 0.1465 0.5755 O
0.3733 0.2574 0.2719 O
0.4307 0.4380 0.8045 O
0.5693 0.5620 0.1955 O
0.6267 0.7426 0.7281 O
0.7903 0.8535 0.4245 O
0.8169 0.5358 0.4730 O
0.8280 0.6088 0.9568 O
```

Main lines, by intensity (5 to 70 degrees two-theta):
30.89°, rel. 100
28.47°, rel. 99
25.79°, rel. 86
12.71°, rel. 83
30.68°, rel. 69
28.25°, rel. 67
28.03°, rel. 59
38.11°, rel. 52
10.13°, rel. 46
20.34°, rel. 40

---

Diffraction record for HgSeO3. The X-ray powder pattern is theoretical, not measured: it uses a DFT-relaxed cell (PBE, the Materials Project) and Cu Kα X-rays.
Peak positions follow from Bragg's law for the DFT cell and can differ from measured ones.

Structure:
```
HgSeO3
1.0
4.6322 0.0000 0.0000
0.0000 10.3765 0.0000
-1.6890 0.0000 7.3061
Hg Se O
4 4 12
direct
0.1066 0.1683 0.4025 Hg
0.1066 0.3317 0.9025 Hg
0.8934 0.6683 0.0975 Hg
0.8934 0.8317 0.5975 Hg
0.3274 0.5824 0.6774 Se
0.3274 0.9176 0.1774 Se
0.6726 0.0824 0.8226 Se
0.6726 0.4176 0.3226 Se
0.0095 0.6449 0.5284 O
0.0095 0.8551 0.0284 O
0.1744 0.5283 0.8612 O
0.1744 0.9717 0.3612 O
0.4937 0.7184 0.7735 O
0.4937 0.7816 0.2735 O
0.5063 0.2184 0.7265 O
0.5063 0.2816 0.2265 O
0.8256 0.0283 0.6388 O
0.8256 0.4717 0.1388 O
0.9905 0.1449 0.9716 O
0.9905 0.3551 0.4716 O
```

Main lines, by intensity (5 to 70 degrees two-theta):
26.91°, rel. 100
25.86°, rel. 52
29.07°, rel. 34
40.93°, rel. 30
28.55°, rel. 22
19.67°, rel. 21
52.21°, rel. 18
36.51°, rel. 17
36.76°, rel. 15
14.83°, rel. 12